Starting from DFT lattice parameters and positions (PBE+U), the powder diffraction line list of AlAgW2O8 was calculated for a wavelength of 1.5418 Å.

Atomic structure:
a b c (Å): 5.157 5.864 10.442
angles (deg): 90.00 117.02 90.00
Positions (direct):
Al: 0.000 0.158 0.250
Al: 0.000 0.842 0.750
Ag: 0.500 0.155 0.750
Ag: 0.500 0.845 0.250
W: 0.242 0.333 0.000
W: 0.242 0.667 0.500
W: 0.758 0.333 0.500
W: 0.758 0.667 0.000
O: 0.159 0.400 0.611
O: 0.159 0.600 0.111
O: 0.204 0.166 0.142
O: 0.204 0.834 0.642
O: 0.226 0.093 0.881
O: 0.226 0.907 0.381
O: 0.320 0.384 0.394
O: 0.320 0.616 0.894
O: 0.680 0.384 0.106
O: 0.680 0.616 0.606
O: 0.774 0.093 0.619
O: 0.774 0.907 0.119
O: 0.796 0.166 0.358
O: 0.796 0.834 0.858
O: 0.841 0.400 0.889
O: 0.841 0.600 0.389

Top 8 peaks for 15° ≤ 2θ ≤ 90°, in order of rising 2θ:
Position (°2θ)	Rel. int.	(hkl)
19.08	39.7	0 0 2
22.98	41.8	1 1 -1
24.43	62.2	0 1 2
29.53	94.5	1 1 1
30.53	100.0	1 1 -3
34.83	33.1	2 0 -2
35.22	47.6	1 2 -1
50.66	30.5	0 3 2